1.
Structure and theoretical powder XRD pattern of Ba2B2O5 (the GGA-PBE geometry in Alexandria; a wavelength of 1.5418 Å).

Atomic structure:
Lattice parameters (Å, degrees): 7.753 7.753 7.753 148.92 135.77 55.04
Sites, in units of the cell vectors:
1 Ba 0.170 0.170 0.000
2 Ba 0.830 0.830 0.000
3 B 0.399 0.399 0.000
4 B 0.601 0.601 0.000
5 O 0.143 0.349 0.794
6 O 0.446 0.651 0.794
7 O 0.500 0.500 0.000
8 O 0.554 0.349 0.206
9 O 0.857 0.651 0.206

Peak list (12 most intense, 2θ = 10–90°, sorted by position)
d [Å], Position (°2θ), I (rel.)
6.876, 12.87, 51
5.374, 16.50, 19
3.605, 24.69, 75
3.385, 26.33, 100
3.078, 29.01, 33
3.037, 29.41, 23
2.919, 30.63, 19
2.292, 39.30, 25
2.118, 42.69, 56
1.898, 47.93, 29
1.803, 50.63, 16
1.800, 50.72, 21

***

2.
Structure and theoretical powder XRD pattern of NpSO5 (the GGA-PBE geometry in Alexandria; a wavelength of 1.5418 Å).

Atomic structure:
Lattice parameters (Å, degrees): 5.455 5.455 4.523 108.82 108.82 56.25
Sites, in units of the cell vectors:
1 Np 0.000 0.000 0.000
2 S 0.576 0.576 0.661
3 O 0.204 0.204 0.135
4 O 0.266 0.754 0.489
5 O 0.539 0.539 0.955
6 O 0.740 0.740 0.736
7 O 0.754 0.266 0.489

Peak list (12 most intense, 2θ = 10–90°, sorted by position)
d [Å], Position (°2θ), I (rel.)
4.469, 19.87, 100
4.209, 21.11, 26
3.849, 23.11, 14
3.384, 26.34, 56
2.816, 31.78, 17
2.597, 34.54, 17
2.582, 34.75, 15
2.571, 34.89, 14
2.247, 40.13, 12
2.194, 41.14, 16
2.138, 42.27, 12
1.692, 54.22, 13

***

3.
Structure and theoretical powder XRD pattern of Al2HgCl (the GGA-PBE geometry in Alexandria; a wavelength of 1.5418 Å).

Atomic structure:
Lattice parameters (Å, degrees): 3.190 3.190 10.366 90.00 90.00 120.59
Sites, in units of the cell vectors:
1 Al 0.000 0.000 0.000
2 Al 0.500 0.500 0.221
3 Hg 0.500 0.500 0.757
4 Cl 0.000 0.000 0.393

Peak list (12 most intense, 2θ = 10–90°, sorted by position)
d [Å], Position (°2θ), I (rel.)
5.183, 17.11, 91
3.455, 25.78, 40
2.771, 32.31, 45
2.746, 32.61, 28
2.677, 33.48, 22
2.654, 33.77, 73
2.443, 36.78, 29
2.426, 37.05, 100
2.162, 41.79, 23
2.150, 42.03, 29
1.885, 48.29, 35
1.524, 60.77, 24

***

4.
Structure and theoretical powder XRD pattern of Cr7Re8 (the GGA-PBE geometry in Alexandria; a wavelength of 1.5418 Å).

Atomic structure:
Lattice parameters (Å, degrees): 9.097 9.097 4.939 90.00 90.00 90.00
Sites, in units of the cell vectors:
1 Cr 0.000 0.000 0.000
2 Cr 0.065 0.250 0.000
3 Cr 0.093 0.093 0.500
4 Cr 0.250 0.065 0.000
5 Cr 0.250 0.565 0.500
6 Cr 0.407 0.593 0.000
7 Cr 0.435 0.750 0.500
8 Cr 0.500 0.500 0.500
9 Cr 0.565 0.250 0.500
10 Cr 0.593 0.407 0.000
11 Cr 0.750 0.435 0.500
12 Cr 0.750 0.935 0.000
13 Cr 0.907 0.907 0.500
14 Cr 0.935 0.750 0.000
15 Re 0.034 0.362 0.500
16 Re 0.138 0.534 0.000
17 Re 0.185 0.815 0.251
18 Re 0.185 0.815 0.749
19 Re 0.315 0.315 0.249
20 Re 0.315 0.315 0.751
21 Re 0.362 0.034 0.500
22 Re 0.466 0.862 0.000
23 Re 0.534 0.138 0.000
24 Re 0.638 0.966 0.500
25 Re 0.685 0.685 0.249
26 Re 0.685 0.685 0.751
27 Re 0.815 0.185 0.251
28 Re 0.815 0.185 0.749
29 Re 0.862 0.466 0.000
30 Re 0.966 0.638 0.500

Peak list (12 most intense, 2θ = 10–90°, sorted by position)
d [Å], Position (°2θ), I (rel.)
6.433, 13.77, 29
4.069, 21.85, 44
2.584, 34.71, 34
2.306, 39.07, 21
2.206, 40.90, 100
2.170, 41.61, 60
2.144, 42.14, 60
2.111, 42.83, 68
2.015, 45.00, 68
1.874, 48.58, 20
1.319, 71.52, 47
1.279, 74.11, 22

***

5.
Structure and theoretical powder XRD pattern of PmNdTm5 (the GGA-PBE geometry in Alexandria; a wavelength of 1.5418 Å).

Atomic structure:
Lattice parameters (Å, degrees): 6.705 6.705 12.026 105.90 105.90 61.12
Sites, in units of the cell vectors:
1 Pm 0.024 0.976 0.750
2 Pm 0.976 0.024 0.250
3 Nd 0.000 0.500 0.000
4 Nd 0.500 0.000 0.500
5 Tm 0.134 0.422 0.745
6 Tm 0.203 0.642 0.503
7 Tm 0.358 0.797 0.997
8 Tm 0.413 0.587 0.250
9 Tm 0.422 0.134 0.245
10 Tm 0.578 0.866 0.755
11 Tm 0.587 0.413 0.750
12 Tm 0.642 0.203 0.003
13 Tm 0.797 0.358 0.497
14 Tm 0.866 0.578 0.255

Peak list (12 most intense, 2θ = 10–90°, sorted by position)
d [Å], Position (°2θ), I (rel.)
3.352, 26.59, 11
2.925, 30.56, 53
2.890, 30.95, 100
2.850, 31.39, 76
2.737, 32.72, 15
2.699, 33.20, 31
2.515, 35.70, 26
1.957, 46.39, 17
1.660, 55.36, 19
1.653, 55.60, 18
1.613, 57.09, 13
1.608, 57.30, 18

***

6.
Structure and theoretical powder XRD pattern of TiNiW (the GGA-PBE geometry in Alexandria; a wavelength of 1.5418 Å).

Atomic structure:
Lattice parameters (Å, degrees): 2.632 4.627 7.450 90.00 90.00 90.00
Sites, in units of the cell vectors:
1 Ti 0.250 0.250 0.066
2 Ti 0.750 0.750 0.934
3 Ni 0.250 0.250 0.424
4 Ni 0.750 0.750 0.576
5 W 0.250 0.750 0.269
6 W 0.750 0.250 0.731

Peak list (12 most intense, 2θ = 10–90°, sorted by position)
d [Å], Position (°2θ), I (rel.)
3.931, 22.62, 93
3.725, 23.89, 27
2.482, 36.20, 93
2.314, 38.93, 60
2.188, 41.26, 92
1.949, 46.59, 100
1.692, 54.20, 58
1.444, 64.52, 22
1.310, 72.09, 17
1.253, 75.94, 24
1.131, 85.93, 16
1.128, 86.26, 21

***

7.
Structure and theoretical powder XRD pattern of NaAl4Cu (the GGA-PBE geometry in Alexandria; a wavelength of 1.5418 Å).

Atomic structure:
Lattice parameters (Å, degrees): 7.799 3.979 6.913 90.00 90.00 90.00
Sites, in units of the cell vectors:
1 Na 0.250 0.000 0.102
2 Na 0.750 0.000 0.898
3 Al 0.000 0.000 0.500
4 Al 0.057 0.500 0.802
5 Al 0.250 0.500 0.438
6 Al 0.443 0.500 0.802
7 Al 0.500 0.000 0.500
8 Al 0.557 0.500 0.198
9 Al 0.750 0.500 0.562
10 Al 0.943 0.500 0.198
11 Cu 0.250 0.000 0.697
12 Cu 0.750 0.000 0.303

Peak list (12 most intense, 2θ = 10–90°, sorted by position)
d [Å], Position (°2θ), I (rel.)
6.913, 12.80, 45
5.173, 17.14, 100
3.155, 28.28, 43
2.785, 32.14, 40
2.583, 34.72, 41
2.475, 36.30, 82
2.210, 40.83, 29
2.169, 41.65, 94
2.076, 43.59, 73
1.989, 45.60, 46
1.984, 45.73, 22
1.950, 46.58, 25

***

8.
Structure and theoretical powder XRD pattern of CePm5S7 (the GGA-PBE geometry in Alexandria; a wavelength of 1.5418 Å).

Atomic structure:
Lattice parameters (Å, degrees): 6.955 6.955 23.722 90.04 90.04 33.25
Sites, in units of the cell vectors:
1 Ce 0.000 0.000 0.000
2 Ce 0.581 0.581 0.501
3 Pm 0.067 0.067 0.321
4 Pm 0.067 0.067 0.679
5 Pm 0.246 0.246 0.103
6 Pm 0.246 0.246 0.897
7 Pm 0.335 0.335 0.397
8 Pm 0.335 0.335 0.603
9 Pm 0.514 0.514 0.179
10 Pm 0.514 0.514 0.821
11 Pm 0.790 0.790 0.750
12 Pm 0.791 0.791 0.250
13 S 0.156 0.156 0.212
14 S 0.156 0.156 0.789
15 S 0.233 0.233 0.500
16 S 0.348 0.348 0.000
17 S 0.425 0.425 0.712
18 S 0.426 0.426 0.289
19 S 0.605 0.605 0.070
20 S 0.605 0.605 0.930
21 S 0.697 0.697 0.638
22 S 0.698 0.698 0.362
23 S 0.883 0.883 0.138
24 S 0.883 0.883 0.862
25 S 0.976 0.976 0.570
26 S 0.977 0.977 0.430

Peak list (12 most intense, 2θ = 10–90°, sorted by position)
d [Å], Position (°2θ), I (rel.)
3.435, 25.94, 46
3.400, 26.21, 100
3.332, 26.76, 27
3.208, 27.81, 48
2.876, 31.10, 81
2.776, 32.25, 89
2.709, 33.07, 34
2.168, 41.65, 38
2.013, 45.04, 65
2.007, 45.18, 31
1.990, 45.59, 35
1.717, 53.34, 33